No. 1
For Pr3SmHo3S8, a PBE-relaxed structure gives the computed powder X-ray diffraction pattern in this record (Cu Kα X-rays).

The 8 most intense peaks (10 to 80 degrees two-theta), by intensity:
2θ 31.72, rel. 100, hkl 0 2 4
2θ 27.49, rel. 51, hkl 2 0 2
2θ 45.17, rel. 36, hkl 2 0 8
2θ 45.76, rel. 35, hkl 2 2 0
2θ 56.75, rel. 18, hkl 4 0 4
2θ 27.03, rel. 18, hkl 0 0 6
2θ 53.96, rel. 17, hkl 2 2 6
2θ 74.89, rel. 16, hkl 2 2 12

Structural model:
Lattice parameters (Å, degrees): 7.9306 7.9306 19.7913 90.00 90.00 120.00
Space group R-3m (No. 166, hexagonal axes)
Unique sites:
Pr: 0.0000 0.5000 0.0000 x9
Sm: 0.0000 0.0000 0.5000 x3
Ho: 0.0000 0.5000 0.5000 x9
S: 0.0000 0.0000 0.2435 x6
S: 0.0100 0.5050 0.7542 x18


No. 2
For La2Ho4Tm, a PBE-relaxed structure gives the computed powder X-ray diffraction pattern in this record (Cu Kα X-rays).

The 8 most intense peaks (10 to 80 degrees two-theta), by intensity:
2θ 35.00, rel. 100, hkl 1 5 1
2θ 31.35, rel. 72, hkl 0 8 1
2θ 27.78, rel. 43, hkl 1 3 0
2θ 32.35, rel. 41, hkl 0 0 2
2θ 43.15, rel. 26, hkl 1 3 2
2θ 62.51, rel. 23, hkl 1 13 2
2θ 59.41, rel. 22, hkl 1 5 3
2θ 51.92, rel. 20, hkl 1 13 0

Structural model:
Lattice parameters (Å, degrees): 3.4443 26.6426 5.5356 90.00 90.00 90.00
Space group Cmmm (No. 65)
Unique sites:
La: 0.0000 0.1937 0.0000 x4
Ho: 0.0000 0.1123 0.5000 x4
Ho: 0.0000 0.4281 0.0000 x4
Tm: 0.0000 0.5000 0.5000 x2